The following is a calculated PXRD pattern of LaTiVO6. It was derived from a PBE+U-relaxed structure, using λ = 1.5418 Å (Cu Kα).
Peak positions follow from Bragg's law for the DFT cell and can differ from measured ones.

```
data_LaTiVO6
_space_group_name_H-M_alt 'P 3'
_space_group_IT_number 143
_cell_length_a 5.1244
_cell_length_b 5.1244
_cell_length_c 5.2043
_cell_angle_alpha 90.00
_cell_angle_beta 90.00
_cell_angle_gamma 120.00
loop_
_space_group_symop_operation_xyz
'x,y,z'
'-y,x-y,z'
'-x+y,-x,z'
loop_
_atom_site_label
_atom_site_fract_x
_atom_site_fract_y
_atom_site_fract_z
La1 0.0000 0.0000 0.0000
Ti1 0.3333 0.6667 0.5513
V1 0.6667 0.3333 0.4723
O1 0.3796 0.0096 0.7202
O2 0.3801 0.3706 0.3030
```

Main lines, most intense first (2θ from 10° to 80°):
| d (Å) | two_theta | I_rel | (hkl) |
| --- | --- | --- | --- |
| 3.377 | 26.39 | 1000 | 1 0 1 |
| 1.826 | 49.95 | 315 | 2 -1 2 |
| 2.562 | 35.02 | 231 | 1 1 0 |
| 2.041 | 44.38 | 210 | 0 2 1 |
| 1.596 | 57.75 | 210 | 3 -1 1 |
| 4.438 | 20.01 | 136 | 1 0 0 |
| 2.245 | 40.17 | 116 | 0 1 2 |
| 1.479 | 62.82 | 100 | 3 0 0 |
| 1.616 | 57.00 | 94 | 1 0 3 |
| 2.299 | 39.19 | 84 | 1 1 1 |
| 1.206 | 79.48 | 76 | 2 1 3 |
| 1.367 | 68.68 | 68 | 0 2 3 |